[1]
Ce2CuF11: calculated powder diffraction line list (Cu Ka), based on a structure optimized by DFT (GGA-PBE).
Kinematic intensities with the Lorentz-polarization factor, no thermal factor.

Cell and atoms:
Cell: 8.468 8.468 10.188 Å, 125.51 125.51 61.04°
Fractional positions:
Ce  0.130  0.272  0.208
Ce  0.272  0.130  0.708
Ce  0.728  0.870  0.292
Ce  0.870  0.728  0.792
Cu  0.498  0.502  0.750
Cu  0.502  0.498  0.250
F  0.000  0.000  0.000
F  0.000  0.000  0.500
F  0.012  0.396  0.706
F  0.018  0.294  0.978
F  0.048  0.698  0.699
F  0.294  0.018  0.478
F  0.302  0.952  0.801
F  0.360  0.368  0.519
F  0.368  0.360  0.019
F  0.396  0.012  0.206
F  0.398  0.410  0.300
F  0.410  0.398  0.800
F  0.590  0.602  0.200
F  0.602  0.590  0.700
F  0.604  0.988  0.794
F  0.632  0.640  0.981
F  0.640  0.632  0.481
F  0.698  0.048  0.199
F  0.706  0.982  0.522
F  0.952  0.302  0.301
F  0.982  0.706  0.022
F  0.988  0.604  0.294

The 10 most intense peaks (5 to 70 degrees two-theta), most intense first:
2theta	Rel. int.
20.7	100
23.7	86
17.4	84
26.9	84
23.8	76
24.0	72
16.5	67
22.1	65
24.4	61
46.4	42

[2]
CeTlCu2F8: calculated powder diffraction line list (Cu Ka), based on a structure optimized by DFT (GGA-PBE).
Kinematic intensities with the Lorentz-polarization factor, no thermal factor.

Cell and atoms:
Cell: 5.754 5.754 8.126 Å, 90.00 90.00 120.00°
Fractional positions:
Ce  0.000  0.000  0.000
Tl  0.000  0.000  0.500
Cu  0.333  0.667  0.682
Cu  0.667  0.333  0.318
F  0.169  0.337  0.827
F  0.169  0.831  0.827
F  0.333  0.667  0.456
F  0.337  0.169  0.173
F  0.663  0.831  0.827
F  0.667  0.333  0.544
F  0.831  0.169  0.173
F  0.831  0.663  0.173

The 10 most intense peaks (5 to 70 degrees two-theta), most intense first:
2theta	Rel. int.
28.3	100
17.8	84
31.1	70
42.6	48
48.4	36
53.6	35
38.3	32
20.9	30
55.3	28
67.8	21

[3]
CeFeCuH6: calculated powder diffraction line list (Cu Ka), based on a structure optimized by DFT (GGA-PBE).
Kinematic intensities with the Lorentz-polarization factor, no thermal factor.

Cell and atoms:
Cell: 4.449 4.449 4.224 Å, 90.00 90.00 120.00°
Fractional positions:
Ce  0.000  0.000  0.000
Fe  0.667  0.333  0.500
Cu  0.333  0.667  0.500
H  0.512  0.023  0.244
H  0.512  0.023  0.756
H  0.512  0.488  0.244
H  0.512  0.488  0.756
H  0.977  0.488  0.244
H  0.977  0.488  0.756

The 10 most intense peaks (5 to 70 degrees two-theta), most intense first:
2theta	Rel. int.
31.4	100
40.6	42
60.4	25
52.2	23
68.1	20
23.1	13
42.8	12
49.2	4
47.2	3
63.9	2

[4]
Ce3Ga2Cu3: calculated powder diffraction line list (Cu Ka), based on a structure optimized by DFT (GGA-PBE).
Kinematic intensities with the Lorentz-polarization factor, no thermal factor.

Cell and atoms:
Cell: 8.166 14.541 5.609 Å, 90.00 90.00 90.00°
Fractional positions:
Ce  0.054  0.104  0.139
Ce  0.054  0.396  0.139
Ce  0.182  0.250  0.607
Ce  0.318  0.750  0.107
Ce  0.446  0.604  0.639
Ce  0.446  0.896  0.639
Ce  0.554  0.104  0.361
Ce  0.554  0.396  0.361
Ce  0.682  0.250  0.893
Ce  0.818  0.750  0.393
Ce  0.946  0.604  0.861
Ce  0.946  0.896  0.861
Ga  0.103  0.603  0.366
Ga  0.103  0.897  0.366
Ga  0.397  0.103  0.866
Ga  0.397  0.397  0.866
Ga  0.603  0.603  0.134
Ga  0.603  0.897  0.134
Ga  0.897  0.103  0.634
Ga  0.897  0.397  0.634
Cu  0.170  0.750  0.607
Cu  0.184  0.036  0.615
Cu  0.184  0.464  0.615
Cu  0.316  0.536  0.115
Cu  0.316  0.964  0.115
Cu  0.330  0.250  0.107
Cu  0.670  0.750  0.893
Cu  0.684  0.036  0.885
Cu  0.684  0.464  0.885
Cu  0.816  0.536  0.385
Cu  0.816  0.964  0.385
Cu  0.830  0.250  0.393

The 10 most intense peaks (5 to 70 degrees two-theta), most intense first:
2theta	Rel. int.
36.7	100
33.0	56
38.7	56
34.4	43
33.8	31
37.1	29
47.4	28
31.3	25
42.2	22
60.1	20